No. 1
Structure and calculated powder diffraction line list of Al2ZnCu4Ni (a DFT-relaxed cell (GGA-PBE, OQMD); λ = 1.5418 Å (Cu Kα)).

The 6 most intense peaks (2θ = 10–80°), low angle first:
- d 3.367, rel. 12
- d 2.078, rel. 100
- d 2.031, rel. 47
- d 1.504, rel. 8
- d 1.436, rel. 14
- d 1.209, rel. 15

Crystal structure
a = 7.260 Å, b = 7.260 Å, c = 7.260 Å
α = 133.39°, β = 133.39°, γ = 68.04°
Atoms (fractional coordinates):
Al: 0.124 0.374 0.750
Al: 0.374 0.124 0.250
Al: 0.626 0.876 0.750
Al: 0.876 0.626 0.250
Zn: 0.375 0.625 0.750
Zn: 0.625 0.375 0.250
Cu: 0.000 0.247 0.247
Cu: 0.000 0.753 0.753
Cu: 0.247 0.000 0.747
Cu: 0.247 0.500 0.247
Cu: 0.500 0.247 0.747
Cu: 0.500 0.753 0.253
Cu: 0.753 0.000 0.253
Cu: 0.753 0.500 0.753
Ni: 0.125 0.875 0.250
Ni: 0.875 0.125 0.750

=====

No. 2
Structure and calculated powder diffraction line list of W2N3 (a DFT-relaxed cell (GGA-PBE, OQMD); λ = 1.5418 Å (Cu Kα)).

The 6 most intense peaks (2θ = 10–80°), low angle first:
- d 5.076, rel. 74
- d 2.538, rel. 40
- d 2.466, rel. 100
- d 2.374, rel. 52
- d 2.089, rel. 46
- d 1.932, rel. 70

Crystal structure
a = 4.997 Å, b = 4.997 Å, c = 15.227 Å
α = 90.00°, β = 90.00°, γ = 120.00°
Atoms (fractional coordinates):
W: 0.217 0.443 0.000
W: 0.220 0.111 0.333
W: 0.226 0.783 0.667
W: 0.551 0.445 0.659
W: 0.554 0.109 0.171
W: 0.554 0.446 0.838
W: 0.555 0.106 0.992
W: 0.557 0.774 0.333
W: 0.889 0.109 0.667
W: 0.891 0.446 0.505
W: 0.891 0.780 0.000
W: 0.894 0.449 0.325
N: 0.213 0.766 0.415
N: 0.216 0.446 0.580
N: 0.219 0.114 0.912
N: 0.230 0.784 0.247
N: 0.234 0.446 0.748
N: 0.237 0.112 0.081
N: 0.550 0.440 0.246
N: 0.554 0.770 0.913
N: 0.554 0.787 0.082
N: 0.558 0.128 0.748
N: 0.560 0.110 0.579
N: 0.570 0.442 0.414
N: 0.872 0.430 0.081
N: 0.875 0.763 0.748
N: 0.886 0.104 0.246
N: 0.888 0.125 0.414
N: 0.890 0.450 0.913
N: 0.896 0.781 0.579

=====

No. 3
Structure and calculated powder diffraction line list of Pr2CdAsP (a DFT-relaxed cell (GGA-PBE, OQMD); λ = 1.5418 Å (Cu Kα)).

The 6 most intense peaks (2θ = 10–80°), low angle first:
- d 3.057, rel. 61
- d 2.721, rel. 27
- d 2.683, rel. 100
- d 2.647, rel. 61
- d 2.433, rel. 25
- d 2.097, rel. 30

Crystal structure
a = 8.975 Å, b = 8.975 Å, c = 6.960 Å
α = 90.00°, β = 90.00°, γ = 152.98°
Atoms (fractional coordinates):
Pr: 0.032 0.968 0.500
Pr: 0.207 0.793 0.129
Pr: 0.793 0.207 0.629
Pr: 0.968 0.032 0.000
Cd: 0.397 0.603 0.318
Cd: 0.603 0.397 0.818
As: 0.413 0.587 0.709
As: 0.587 0.413 0.209
P: 0.181 0.819 0.707
P: 0.819 0.181 0.207